Record 1
# BaNiF4
Theoretical X-ray diffraction stick pattern, Cu Ka. Input: the PBE+U geometry in Alexandria.
Peak positions follow from Bragg's law for the DFT cell and can differ from measured ones.

Cell and atoms:
```
data_BaNiF4
_cell_length_a 4.205
_cell_length_b 14.748
_cell_length_c 5.899
_cell_angle_alpha 90.00
_cell_angle_beta 90.00
_cell_angle_gamma 90.00
_symmetry_space_group_name_H-M 'C m c 21'
_symmetry_Int_Tables_number 36
loop_
_symmetry_equiv_pos_as_xyz
'x,y,z'
'-x,-y,z+1/2'
'-x,y,z'
'x,-y,z+1/2'
'x+1/2,y+1/2,z'
'-x+1/2,-y+1/2,z+1/2'
'-x+1/2,y+1/2,z'
'x+1/2,-y+1/2,z+1/2'
loop_
_atom_site_label
_atom_site_fract_x
_atom_site_fract_y
_atom_site_fract_z
Ba1 0.000 0.147 0.000
Ni1 0.000 0.414 0.958
F1 0.000 0.079 0.448
F2 0.000 0.302 0.765
F3 0.000 0.336 0.230
F4 0.000 0.472 0.639
```

Largest 10 diffraction maxima, sorted by position, 2θ = 10–90°:
two_theta  I/Imax  (hkl)
24.14  412  0 4 0
26.73  1000  1 1 1
27.92  249  1 3 0
28.55  420  0 4 1
30.30  282  0 0 2
31.85  264  1 3 1
39.11  240  0 4 2
40.36  333  1 5 1
41.67  399  1 3 2
43.02  297  2 0 0

Record 2
# Ba2Ni7F18
Theoretical X-ray diffraction stick pattern, Cu Ka. Input: the PBE+U geometry in Alexandria.
Peak positions follow from Bragg's law for the DFT cell and can differ from measured ones.

Cell and atoms:
```
data_Ba2Ni7F18
_cell_length_a 7.006
_cell_length_b 7.306
_cell_length_c 7.539
_cell_angle_alpha 94.45
_cell_angle_beta 93.13
_cell_angle_gamma 115.81
_symmetry_space_group_name_H-M 'P -1'
_symmetry_Int_Tables_number 2
loop_
_symmetry_equiv_pos_as_xyz
'x,y,z'
'-x,-y,-z'
loop_
_atom_site_label
_atom_site_fract_x
_atom_site_fract_y
_atom_site_fract_z
Ba1 0.187 0.307 0.366
Ni1 0.106 0.722 0.119
Ni2 0.310 0.124 0.818
Ni3 0.319 0.616 0.805
Ni4 0.500 0.000 0.500
F1 0.004 0.078 0.817
F2 0.021 0.441 0.678
F3 0.181 0.487 0.026
F4 0.206 0.826 0.881
F5 0.218 0.992 0.558
F6 0.393 0.230 0.073
F7 0.400 0.395 0.719
F8 0.403 0.872 0.241
F9 0.422 0.719 0.574
```

Largest 10 diffraction maxima, sorted by position, 2θ = 10–90°:
two_theta  I/Imax  (hkl)
26.55  1000  1 -2 1
27.79  271  1 1 1
27.92  292  1 -1 2
28.55  325  0 2 -1
28.77  744  0 1 2
31.99  746  -2 2 1
40.19  618  2 1 1
40.83  280  1 1 -3
41.01  411  -2 3 1
52.38  510  4 -2 0